Record 1
Structure and calculated powder X-ray diffraction pattern of Ag3OsCl9 (a structure optimized by DFT (GGA-PBE); a wavelength of 1.5418 Å).
Neutral-atom scattering factors, no anomalous dispersion.

Structure:
```
26
Lattice="9.0024 -3.9452 0.0000 9.0024 3.9452 0.0000 -7.6521 0.0000 11.8911" Properties=species:S:1:pos:R:3 pbc="T T T"
Ag 5.1763 3.7276 5.9455
Ag 2.0199 1.6133 7.4231
Ag 7.3492 1.4189 3.0304
Ag 5.8459 -1.6133 1.4776
Ag 3.5232 -1.4189 8.9759
Ag 9.0024 -3.7276 0.0000
Os 11.0767 1.3211 1.9305
Os 7.2506 -1.3211 7.8760
Cl 0.0296 2.4453 9.3400
Cl -2.2706 0.3835 8.2081
Cl 7.1103 3.3196 4.6218
Cl 1.5555 -0.3835 2.2625
Cl 5.3086 0.6417 2.0036
Cl 9.2172 1.1882 0.5120
Cl 1.4825 -0.6417 7.9492
Cl 12.4333 1.8865 0.1691
Cl 9.6628 0.7686 3.7426
Cl 7.6952 0.8927 7.5700
Cl 3.8556 -2.4453 3.3944
Cl 5.3911 -1.1882 6.4576
Cl 5.8367 -0.7686 9.6881
Cl 11.5212 -0.8927 1.6244
Cl 15.8050 0.2030 0.9670
Cl 8.6073 -1.8865 6.1146
Cl 11.9790 -0.2030 6.9125
Cl 3.2842 -3.3196 10.5673
```

Top 6 peaks for 2θ = 10–90°, in order of falling intensity:
2θ = 16.2°, d 5.463, I = 100
2θ = 13.0°, d 6.818, I = 68
2θ = 14.9°, d 5.946, I = 63
2θ = 26.3°, d 3.395, I = 35
2θ = 28.5°, d 3.129, I = 31
2θ = 34.6°, d 2.591, I = 26

Record 2
Structure and calculated powder X-ray diffraction pattern of Nd2Y3Er9 (a structure optimized by DFT (GGA-PBE); a wavelength of 1.5418 Å).
Neutral-atom scattering factors, no anomalous dispersion.

Structure:
```
14
Lattice="5.3836 0.0000 0.0000 -1.2181 8.2291 0.0000 -1.9500 -1.6062 10.2939" Properties=species:S:1:pos:R:3 pbc="T T T"
Nd 0.0000 0.0000 0.0000
Nd -1.9380 7.1196 4.9741
Y -0.6038 3.7989 5.9320
Y 1.1148 7.6738 2.4869
Y 2.1066 1.7092 9.3372
Er -0.7616 1.9102 3.1634
Er -0.7623 0.9663 7.7553
Er -0.4663 4.0387 9.6930
Er 1.6699 2.7123 1.0805
Er 0.1520 6.8711 7.6231
Er 1.7809 4.4070 3.8944
Er 1.9683 1.4734 5.5738
Er 2.2660 4.5380 7.5148
Er 4.2114 5.2094 1.8073
```

Top 6 peaks for 2θ = 10–90°, in order of falling intensity:
2θ = 31.1°, d 2.880, I = 100
2θ = 30.9°, d 2.895, I = 70
2θ = 31.2°, d 2.871, I = 53
2θ = 33.1°, d 2.710, I = 53
2θ = 30.5°, d 2.927, I = 42
2θ = 34.9°, d 2.571, I = 41

Record 3
Structure and calculated powder X-ray diffraction pattern of Ga3Cu8 (a structure optimized by DFT (GGA-PBE); a wavelength of 1.5418 Å).
Neutral-atom scattering factors, no anomalous dispersion.

Structure:
```
11
Lattice="4.1513 -1.8537 0.0000 4.1513 1.8537 0.0000 -2.3235 0.0000 9.1036" Properties=species:S:1:pos:R:3 pbc="T T T"
Ga 0.0000 0.0000 0.0000
Ga -0.6689 0.0000 5.8521
Ga 6.6480 0.0000 3.2516
Cu 0.8537 0.0000 2.4755
Cu 0.1713 0.0000 8.3001
Cu 1.7660 0.0000 4.9784
Cu 3.3444 0.0000 1.6563
Cu 2.6347 0.0000 7.4474
Cu 4.2130 0.0000 4.1253
Cu 5.8077 0.0000 0.8035
Cu 5.1253 0.0000 6.6281
```

Top 6 peaks for 2θ = 10–90°, in order of falling intensity:
2θ = 42.1°, d 2.146, I = 100
2θ = 42.4°, d 2.134, I = 99
2θ = 48.7°, d 1.869, I = 32
2θ = 49.1°, d 1.854, I = 31
2θ = 49.6°, d 1.838, I = 30
2θ = 71.7°, d 1.316, I = 27

Record 4
Structure and calculated powder X-ray diffraction pattern of Ti5Mn7 (a structure optimized by DFT (GGA-PBE); a wavelength of 1.5418 Å).
Neutral-atom scattering factors, no anomalous dispersion.

Structure:
```
12
Lattice="4.8046 0.0000 0.0000 -2.4023 4.1609 0.0000 0.0000 0.0000 7.8941" Properties=species:S:1:pos:R:3 pbc="T T T"
Ti 0.0000 0.0000 0.0000
Ti 0.0000 2.7739 4.4150
Ti 0.0000 2.7739 7.3387
Ti 2.4023 1.3870 0.5554
Ti 2.4023 1.3870 3.4791
Mn 0.0000 0.0000 3.9470
Mn 0.0000 1.4415 2.0301
Mn -1.1539 3.4401 2.0301
Mn 1.2483 0.7207 5.8640
Mn 1.1539 3.4401 2.0301
Mn 3.5562 0.7207 5.8640
Mn 2.4023 2.7194 5.8640
```

Top 6 peaks for 2θ = 10–90°, in order of falling intensity:
2θ = 45.1°, d 2.012, I = 100
2θ = 44.1°, d 2.052, I = 100
2θ = 40.6°, d 2.224, I = 74
2θ = 75.6°, d 1.258, I = 27
2θ = 49.5°, d 1.840, I = 25
2θ = 79.9°, d 1.201, I = 24